Calculated powder diffractogram of Tm3Th2Sc4 for Cu Kα X-rays, from a DFT-relaxed cell (GGA-PBE, Alexandria).
Peak positions follow from Bragg's law for the DFT cell and can differ from measured ones.

Atomic structure:
a b c (Å): 15.847 11.163 5.752
angles (deg): 90.00 97.78 90.00
Space group C2/c (No. 15)
Unique sites:
Tm1 0.000 0.125 0.250
Tm2 0.162 0.388 0.104
Th1 0.119 0.129 0.794
Sc1 0.049 0.376 0.534
Sc2 0.230 0.137 0.342

Peak list (10 most intense, 2θ from 10° to 90°, in order of rising 2θ)
| Position (°2θ) | I (rel.) | hkl |
| --- | --- | --- |
| 22.3 | 26 | 0 2 1 |
| 30.4 | 19 | 4 2 -1 |
| 31.6 | 49 | 5 1 -1 |
| 32.1 | 100 | 0 4 0 |
| 33.5 | 91 | 4 2 1 |
| 39.2 | 29 | 5 3 -1 |
| 39.6 | 32 | 1 3 -2 |
| 51.9 | 13 | 1 5 -2 |
| 58.1 | 19 | 4 6 1 |
| 58.4 | 22 | 6 2 -3 |

Calculated powder diffractogram of Tm3Th2Sc3 for Cu Kα X-rays, from a DFT-relaxed cell (GGA-PBE, Alexandria).
Peak positions follow from Bragg's law for the DFT cell and can differ from measured ones.

Atomic structure:
a b c (Å): 9.2119 9.2119 9.4439
angles (deg): 90.00 90.00 120.00
Space group R32 (No. 155, hexagonal axes)
Unique sites:
Tm1 0.0000 0.2817 0.0000
Th1 0.0000 0.0000 0.2630
Sc1 0.0000 0.7066 0.5000

Peak list (10 most intense, 2θ from 10° to 90°, in order of rising 2θ)
| Position (°2θ) | I (rel.) | hkl |
| --- | --- | --- |
| 19.3 | 49 | 1 1 0 |
| 21.9 | 35 | 0 1 2 |
| 29.3 | 65 | 2 0 2 |
| 31.1 | 28 | 2 1 1 |
| 33.7 | 100 | 3 0 0 |
| 34.5 | 58 | 1 1 3 |
| 35.3 | 72 | 1 2 2 |
| 53.7 | 37 | 2 3 2 |
| 60.8 | 25 | 4 0 4 |
| 62.3 | 26 | 1 1 6 |

Calculated powder diffractogram of TmTh4Sc2 for Cu Kα X-rays, from a DFT-relaxed cell (GGA-PBE, Alexandria).
Peak positions follow from Bragg's law for the DFT cell and can differ from measured ones.

Atomic structure:
a b c (Å): 9.212 9.212 5.245
angles (deg): 90.00 90.00 90.00
Space group P4_2/mnm (No. 136)
Unique sites:
Tm1 0.000 0.000 0.000
Th1 0.119 0.364 0.500
Sc1 0.187 0.813 0.500

Peak list (10 most intense, 2θ from 10° to 90°, in order of rising 2θ)
| Position (°2θ) | I (rel.) | hkl |
| --- | --- | --- |
| 13.6 | 27 | 1 1 0 |
| 21.8 | 44 | 1 1 1 |
| 27.5 | 23 | 2 1 1 |
| 30.7 | 47 | 3 1 0 |
| 32.4 | 100 | 2 2 1 |
| 34.2 | 33 | 0 0 2 |
| 35.2 | 39 | 3 1 1 |
| 46.6 | 30 | 3 1 2 |
| 60.1 | 18 | 2 2 3 |
| 66.6 | 20 | 6 2 1 |

Calculated powder diffractogram of TmTh6Sc for Cu Kα X-rays, from a DFT-relaxed cell (GGA-PBE, Alexandria).
Peak positions follow from Bragg's law for the DFT cell and can differ from measured ones.

Atomic structure:
a b c (Å): 5.000 5.000 9.995
angles (deg): 90.00 90.00 90.00
Space group P4/mmm (No. 123)
Unique sites:
Tm1 0.000 0.000 0.000
Th1 0.000 0.500 0.253
Th2 0.500 0.500 0.000
Th3 0.500 0.500 0.500
Sc1 0.000 0.000 0.500

Peak list (10 most intense, 2θ from 10° to 90°, in order of rising 2θ)
| Position (°2θ) | I (rel.) | hkl |
| --- | --- | --- |
| 17.7 | 6 | 1 0 0 |
| 25.2 | 6 | 1 1 0 |
| 31.0 | 100 | 1 1 2 |
| 35.9 | 51 | 2 0 0 |
| 51.7 | 37 | 2 2 0 |
| 61.5 | 44 | 3 1 2 |
| 64.6 | 13 | 2 2 4 |
| 76.2 | 6 | 4 0 0 |
| 84.5 | 19 | 3 3 2 |
| 87.2 | 17 | 4 2 0 |

Calculated powder diffractogram of TmTh4Sc for Cu Kα X-rays, from a DFT-relaxed cell (GGA-PBE, Alexandria).
Peak positions follow from Bragg's law for the DFT cell and can differ from measured ones.

Atomic structure:
a b c (Å): 6.035 10.574 6.035
angles (deg): 90.00 107.88 90.00
Space group C2/m (No. 12)
Unique sites:
Tm1 0.000 0.000 0.000
Th1 0.000 0.167 0.500
Th2 0.000 0.336 0.000
Sc1 0.000 0.500 0.500

Peak list (10 most intense, 2θ from 10° to 90°, in order of rising 2θ)
| Position (°2θ) | I (rel.) | hkl |
| --- | --- | --- |
| 20.0 | 13 | 1 1 -1 |
| 31.1 | 100 | 2 0 0 |
| 31.3 | 99 | 1 3 -1 |
| 35.9 | 69 | 1 3 1 |
| 36.8 | 32 | 2 0 -2 |
| 52.4 | 48 | 3 3 -1 |
| 61.5 | 30 | 3 3 1 |
| 61.8 | 29 | 2 6 0 |
| 62.9 | 28 | 4 0 -2 |
| 64.9 | 13 | 4 0 0 |

Calculated powder diffractogram of Tm3ThSc5 for Cu Kα X-rays, from a DFT-relaxed cell (GGA-PBE, Alexandria).
Peak positions follow from Bragg's law for the DFT cell and can differ from measured ones.

Atomic structure:
a b c (Å): 9.2429 9.2429 3.3419
angles (deg): 90.00 90.00 120.00
Space group P-62m (No. 189)
Unique sites:
Tm1 0.0000 0.3657 0.0000
Th1 0.0000 0.0000 0.0000
Sc1 0.0000 0.6859 0.5000
Sc2 0.3333 0.6667 0.5000

Peak list (10 most intense, 2θ from 10° to 90°, in order of rising 2θ)
| Position (°2θ) | I (rel.) | hkl |
| --- | --- | --- |
| 11.1 | 27 | 1 0 0 |
| 19.2 | 45 | 1 1 0 |
| 22.2 | 29 | 2 0 0 |
| 33.1 | 76 | 1 1 1 |
| 33.6 | 100 | 3 0 0 |
| 35.0 | 39 | 2 0 1 |
| 40.2 | 29 | 2 1 1 |
| 43.4 | 26 | 3 0 1 |
| 57.2 | 28 | 3 2 1 |
| 66.0 | 28 | 3 0 2 |

Calculated powder diffractogram of TmThSc4 for Cu Kα X-rays, from a DFT-relaxed cell (GGA-PBE, Alexandria).
Peak positions follow from Bragg's law for the DFT cell and can differ from measured ones.

Atomic structure:
a b c (Å): 3.315 5.280 9.139
angles (deg): 89.96 89.96 89.95
Space group P-1 (No. 2)
Unique sites:
Tm1 0.000 0.000 0.000
Th1 0.000 0.500 0.500
Sc1 0.498 0.500 0.166
Sc2 0.499 0.000 0.332

Peak list (10 most intense, 2θ from 10° to 90°, in order of rising 2θ)
| Position (°2θ) | I (rel.) | hkl |
| --- | --- | --- |
| 19.4 | 72 | 0 1 1 |
| 33.4 | 100 | 1 1 1 |
| 34.0 | 67 | 0 2 0 |
| 39.4 | 13 | 0 2 2 |
| 43.8 | 10 | 1 2 0 |
| 48.4 | 35 | 1 0 4 |
| 53.0 | 11 | 0 3 1 |
| 60.4 | 36 | 1 3 1 |
| 60.8 | 12 | 0 3 3 |
| 66.6 | 18 | 2 2 0 |

Calculated powder diffractogram of Tm2Th5Sc4 for Cu Kα X-rays, from a DFT-relaxed cell (GGA-PBE, Alexandria).
Peak positions follow from Bragg's law for the DFT cell and can differ from measured ones.

Atomic structure:
a b c (Å): 3.509 8.477 11.297
angles (deg): 74.05 81.08 89.97
Space group P-1 (No. 2)
Unique sites:
Tm1 0.180 0.457 0.139
Th1 0.000 0.000 0.500
Th2 0.090 0.719 0.321
Th3 0.361 0.907 0.781
Sc1 0.274 0.177 0.950
Sc2 0.454 0.646 0.592

Peak list (10 most intense, 2θ from 10° to 90°, in order of rising 2θ)
| Position (°2θ) | I (rel.) | hkl |
| --- | --- | --- |
| 16.5 | 10 | 0 0 2 |
| 31.7 | 100 | 1 1 -1 |
| 32.1 | 32 | 0 1 4 |
| 36.4 | 47 | 1 2 3 |
| 37.8 | 21 | 0 2 -3 |
| 53.2 | 15 | 1 4 0 |
| 53.8 | 15 | 1 0 -5 |
| 62.6 | 19 | -2 1 3 |
| 63.1 | 9 | 1 3 7 |
| 66.2 | 12 | 2 2 -2 |

Calculated powder diffractogram of Tm2Th2Sc7 for Cu Kα X-rays, from a DFT-relaxed cell (GGA-PBE, Alexandria).
Peak positions follow from Bragg's law for the DFT cell and can differ from measured ones.

Atomic structure:
a b c (Å): 16.387 10.904 3.446
angles (deg): 90.00 102.08 90.00
Space group C2/m (No. 12)
Unique sites:
Tm1 0.189 0.000 0.189
Th1 0.000 0.263 0.000
Sc1 0.000 0.000 0.500
Sc2 0.120 0.500 0.121
Sc3 0.171 0.265 0.671

Peak list (10 most intense, 2θ from 10° to 90°, in order of rising 2θ)
| Position (°2θ) | I (rel.) | hkl |
| --- | --- | --- |
| 19.7 | 55 | 2 2 0 |
| 26.5 | 25 | 2 0 -1 |
| 29.4 | 17 | 1 1 1 |
| 32.9 | 32 | 0 4 0 |
| 33.6 | 21 | 6 0 0 |
| 35.1 | 100 | 2 2 1 |
| 37.4 | 18 | 5 3 0 |
| 42.7 | 15 | 2 4 -1 |
| 47.7 | 16 | 6 4 0 |
| 60.1 | 18 | 2 6 1 |

Calculated powder diffractogram of TmTh2Sc for Cu Kα X-rays, from a DFT-relaxed cell (GGA-PBE, Alexandria).
Peak positions follow from Bragg's law for the DFT cell and can differ from measured ones.

Atomic structure:
a b c (Å): 7.012 9.761 3.497
angles (deg): 90.00 90.00 90.00
Space group Cmmm (No. 65)
Unique sites:
Tm1 0.000 0.000 0.000
Th1 0.250 0.250 0.500
Sc1 0.000 0.500 0.000

Peak list (10 most intense, 2θ from 10° to 90°, in order of rising 2θ)
| Position (°2θ) | I (rel.) | hkl |
| --- | --- | --- |
| 15.6 | 9 | 1 1 0 |
| 18.2 | 11 | 0 2 0 |
| 25.4 | 10 | 2 0 0 |
| 31.4 | 100 | 2 2 0 |
| 36.3 | 34 | 2 0 1 |
| 36.8 | 16 | 0 4 0 |
| 52.7 | 24 | 2 4 1 |
| 62.3 | 29 | 4 2 1 |
| 63.0 | 14 | 2 6 0 |
| 86.2 | 12 | 4 6 1 |

Calculated powder diffractogram of TmTh5Sc3 for Cu Kα X-rays, from a DFT-relaxed cell (GGA-PBE, Alexandria).
Peak positions follow from Bragg's law for the DFT cell and can differ from measured ones.

Atomic structure:
a b c (Å): 8.750 8.750 14.335
angles (deg): 90.00 90.00 90.00
Space group I4/mcm (No. 140)
Unique sites:
Tm1 0.000 0.500 0.250
Th1 0.000 0.000 0.000
Th2 0.216 0.284 0.129
Sc1 0.000 0.000 0.250
Sc2 0.099 0.401 0.500

Peak list (10 most intense, 2θ from 10° to 90°, in order of rising 2θ)
| Position (°2θ) | I (rel.) | hkl |
| --- | --- | --- |
| 18.9 | 17 | 1 1 2 |
| 20.3 | 11 | 2 0 0 |
| 28.9 | 57 | 2 2 0 |
| 29.5 | 16 | 2 1 3 |
| 32.3 | 100 | 2 0 4 |
| 34.8 | 13 | 3 1 2 |
| 41.3 | 14 | 4 0 0 |
| 43.1 | 13 | 4 1 1 |
| 53.3 | 27 | 4 2 4 |
| 59.6 | 15 | 2 2 8 |

Calculated powder diffractogram of TmTh4Sc3 for Cu Kα X-rays, from a DFT-relaxed cell (GGA-PBE, Alexandria).
Peak positions follow from Bragg's law for the DFT cell and can differ from measured ones.

Atomic structure:
a b c (Å): 6.005 6.033 7.669
angles (deg): 104.72 104.60 110.68
Space group P-1 (No. 2)
Unique sites:
Tm1 0.000 0.000 0.000
Th1 0.127 0.626 0.253
Th2 0.253 0.252 0.505
Sc1 0.378 0.878 0.757
Sc2 0.500 0.500 0.000

Peak list (10 most intense, 2θ from 10° to 90°, in order of rising 2θ)
| Position (°2θ) | I (rel.) | hkl |
| --- | --- | --- |
| 17.0 | 30 | 1 0 -1 |
| 25.0 | 15 | 0 1 -2 |
| 31.7 | 100 | 0 2 -1 |
| 31.9 | 33 | 2 0 -1 |
| 36.3 | 25 | 2 -2 0 |
| 37.1 | 44 | 1 1 1 |
| 52.8 | 16 | 1 -3 3 |
| 53.0 | 17 | 3 -1 1 |
| 63.4 | 14 | 1 3 0 |
| 63.5 | 14 | 1 3 -4 |

Calculated powder diffractogram of Tm4ThSc5 for Cu Kα X-rays, from a DFT-relaxed cell (GGA-PBE, Alexandria).
Peak positions follow from Bragg's law for the DFT cell and can differ from measured ones.

Atomic structure:
a b c (Å): 15.942 3.394 10.718
angles (deg): 90.00 90.97 90.00
Space group C2/m (No. 12)
Unique sites:
Tm1 0.031 0.000 0.243
Tm2 0.157 0.500 0.746
Th1 0.000 0.500 0.500
Sc1 0.000 0.500 0.000
Sc2 0.173 0.000 0.036
Sc3 0.173 0.000 0.457

Peak list (10 most intense, 2θ from 10° to 90°, in order of rising 2θ)
| Position (°2θ) | I (rel.) | hkl |
| --- | --- | --- |
| 11.1 | 76 | 2 0 0 |
| 13.7 | 38 | 2 0 -1 |
| 24.0 | 43 | 4 0 1 |
| 27.5 | 22 | 2 0 3 |
| 28.1 | 63 | 1 1 -1 |
| 33.4 | 89 | 0 0 4 |
| 33.7 | 40 | 6 0 0 |
| 35.5 | 100 | 3 1 -2 |
| 35.7 | 95 | 3 1 2 |
| 65.1 | 26 | 0 2 4 |

Calculated powder diffractogram of Y2TmThSc for Cu Kα X-rays, from a DFT-relaxed cell (GGA-PBE, Alexandria).
Peak positions follow from Bragg's law for the DFT cell and can differ from measured ones.

Atomic structure:
a b c (Å): 6.146 7.793 6.579
angles (deg): 90.00 90.00 90.00
Space group Pmma (No. 51)
Unique sites:
Y1 0.250 0.206 0.222
Tm1 0.250 0.000 0.685
Th1 0.250 0.500 0.907
Sc1 0.000 0.500 0.500

Peak list (10 most intense, 2θ from 10° to 90°, in order of rising 2θ)
| Position (°2θ) | I (rel.) | hkl |
| --- | --- | --- |
| 17.6 | 38 | 0 1 1 |
| 22.8 | 22 | 0 2 0 |
| 29.1 | 42 | 2 0 0 |
| 29.5 | 25 | 0 1 2 |
| 30.4 | 100 | 1 2 1 |
| 33.0 | 52 | 1 1 2 |
| 34.2 | 33 | 2 1 1 |
| 47.9 | 16 | 2 3 1 |
| 52.3 | 22 | 3 2 1 |
| 57.0 | 14 | 1 3 3 |